Record 1
Starting from a crystal structure in Alexandria, relaxed with PBE, the powder diffractogram of Ti5Nb2Os was simulated for Cu Kα, 1.54184 Å.
No peak broadening, texture or thermal motion is included.

Atomic structure:
```
data_Ti5Nb2Os
_chemical_formula_sum 'Ti5 Nb2 Os1'
_cell_length_a 7.269
_cell_length_b 7.269
_cell_length_c 7.269
_cell_angle_alpha 143.92
_cell_angle_beta 143.92
_cell_angle_gamma 51.95
_symmetry_space_group_name_H-M 'P 1'
_symmetry_Int_Tables_number 1
loop_
_symmetry_equiv_pos_as_xyz
'x,y,z'
loop_
_atom_site_label
_atom_site_type_symbol
_atom_site_fract_x
_atom_site_fract_y
_atom_site_fract_z
_atom_site_occupancy
Ti1 Ti 0.000 0.000 0.000 1
Ti2 Ti 0.117 0.617 0.500 1
Ti3 Ti 0.383 0.883 0.500 1
Ti4 Ti 0.617 0.117 0.500 1
Ti5 Ti 0.883 0.383 0.500 1
Nb1 Nb 0.245 0.245 0.000 1
Nb2 Nb 0.755 0.755 0.000 1
Os1 Os 0.500 0.500 0.000 1
```

Peak list (10 most intense, 10 to 90 degrees two-theta, in order of rising 2θ)
| 2θ (°) | Rel. int. |
| --- | --- |
| 20.87 | 24 |
| 27.30 | 10 |
| 28.03 | 19 |
| 28.51 | 16 |
| 39.52 | 100 |
| 40.06 | 49 |
| 57.94 | 16 |
| 71.34 | 15 |
| 72.41 | 31 |
| 85.10 | 10 |

***

Record 2
Starting from a crystal structure in Alexandria, relaxed with PBE, the powder diffractogram of Nb2V3Os was simulated for Cu Kα, 1.54184 Å.
No peak broadening, texture or thermal motion is included.

Atomic structure:
```
data_Nb2V3Os
_chemical_formula_sum 'Nb2 V3 Os1'
_cell_length_a 5.085
_cell_length_b 5.085
_cell_length_c 5.085
_cell_angle_alpha 60.00
_cell_angle_beta 60.00
_cell_angle_gamma 60.00
_symmetry_space_group_name_H-M 'P 1'
_symmetry_Int_Tables_number 1
loop_
_symmetry_equiv_pos_as_xyz
'x,y,z'
loop_
_atom_site_label
_atom_site_type_symbol
_atom_site_fract_x
_atom_site_fract_y
_atom_site_fract_z
_atom_site_occupancy
Nb1 Nb 0.126 0.126 0.126 1
Nb2 Nb 0.874 0.874 0.874 1
V1 V 0.000 0.500 0.500 1
V2 V 0.500 0.000 0.500 1
V3 V 0.500 0.500 0.000 1
Os1 Os 0.500 0.500 0.500 1
```

Peak list (10 most intense, 10 to 90 degrees two-theta, in order of rising 2θ)
| 2θ (°) | Rel. int. |
| --- | --- |
| 21.40 | 26 |
| 24.76 | 16 |
| 35.30 | 41 |
| 41.65 | 100 |
| 43.60 | 31 |
| 57.30 | 8 |
| 63.36 | 15 |
| 67.70 | 30 |
| 74.67 | 22 |
| 89.33 | 11 |